For K3MnCrO8, a DFT-relaxed cell (GGA+U, the Materials Project) gives the simulated PXRD pattern in this record (copper Kα).
Lines closer than 0.1° are merged.

Largest 10 diffraction maxima, low angle first, 2θ = 10–90°:
(1 0 1), 17.9°, I = 24; (0 1 5), 27.1°, I = 100; (1 1 0), 30.4°, I = 97; (2 0 5), 41.2°, I = 47; (1 0 10), 45.7°, I = 23; (1 2 5), 52.0°, I = 21; (3 0 0), 54.0°, I = 16; (2 2 0), 63.2°, I = 20; (2 1 10), 64.9°, I = 19; (1 1 15), 73.3°, I = 13

Atomic structure:
Lattice parameters (Å, degrees): 5.8835 5.8835 21.5588 90.00 90.00 120.00
Space group R3m (No. 160, hexagonal axes)
Unique sites:
K (0.0000, 0.0000, 0.0000)
K (0.0000, 0.0000, 0.1953)
K (0.0000, 0.0000, 0.7908)
Mn (0.0000, 0.0000, 0.5904)
Cr (0.0000, 0.0000, 0.4044)
O (0.0000, 0.0000, 0.3271)
O (0.0000, 0.0000, 0.6649)
O (0.0328, 0.5164, 0.2319)
O (0.1791, 0.3583, 0.0974)